Starting from a DFT-relaxed cell (GGA-PBE, Alexandria), the powder X-ray diffraction pattern of LaPm3Y5 was simulated for Cu Kα (λ = 1.5418 Å).
Neutral-atom scattering factors, no anomalous dispersion.

Main lines, in order of falling intensity (2θ = 15–90°):
30.6 deg, I 100; 28.4 deg, I 60; 28.8 deg, I 49; 42.9 deg, I 30; 37.4 deg, I 24; 52.2 deg, I 21; 36.7 deg, I 19; 46.3 deg, I 18; 32.3 deg, I 16; 34.3 deg, I 14

Atomic structure:
Lattice parameters (Å, degrees): 10.0023 10.0023 10.0023 128.03 128.03 76.58
Sites, in units of the cell vectors:
La (0.2500, 0.7500, 0.5000)
La (0.7500, 0.2500, 0.5000)
Pm (0.1176, 0.6176, 0.7352)
Pm (0.2500, 0.2500, 0.0000)
Pm (0.3824, 0.1176, 0.5000)
Pm (0.6176, 0.8824, 0.5000)
Pm (0.7500, 0.7500, 0.0000)
Pm (0.8824, 0.3824, 0.2648)
Y (0.0000, 0.0000, 0.0000)
Y (0.0703, 0.1583, 0.5000)
Y (0.1583, 0.6583, 0.0880)
Y (0.3417, 0.4297, 0.5000)
Y (0.4297, 0.9297, 0.0880)
Y (0.5000, 0.5000, 0.0000)
Y (0.5703, 0.0703, 0.9120)
Y (0.6583, 0.5703, 0.5000)
Y (0.8417, 0.3417, 0.9120)
Y (0.9297, 0.8417, 0.5000)


Starting from a DFT-relaxed cell (GGA-PBE, Alexandria), the powder X-ray diffraction pattern of LaPm7Y4 was simulated for Cu Kα (λ = 1.5418 Å).
Neutral-atom scattering factors, no anomalous dispersion.

Main lines, in order of falling intensity (2θ = 15–90°):
31.3 deg, I 100; 33.0 deg, I 90; 30.6 deg, I 49; 59.6 deg, I 44; 28.3 deg, I 43; 49.8 deg, I 38; 53.7 deg, I 21; 56.9 deg, I 19; 84.8 deg, I 17; 39.5 deg, I 16

Atomic structure:
Lattice parameters (Å, degrees): 6.3432 7.3227 9.0281 89.98 76.46 89.96
Sites, in units of the cell vectors:
La (0.0000, 0.0000, 0.0000)
Pm (0.0000, 0.5000, 0.0000)
Pm (0.2226, 0.9998, 0.3345)
Pm (0.2786, 0.2507, 0.6644)
Pm (0.4990, 0.2528, 0.0004)
Pm (0.5010, 0.7472, 0.9996)
Pm (0.7214, 0.7493, 0.3356)
Pm (0.7774, 0.0002, 0.6655)
Y (0.2195, 0.4999, 0.3347)
Y (0.2791, 0.7466, 0.6652)
Y (0.7209, 0.2534, 0.3348)
Y (0.7805, 0.5001, 0.6653)